Theoretical powder diffractogram
Compound: Pu2BiO
Radiation: λ = 1.5418 Å (Cu Kα)
Structure: a crystal structure in Alexandria, relaxed with PBE
Peak positions follow from Bragg's law for the DFT cell and can differ from measured ones.

Principal peaks in the range 5° ≤ 2θ ≤ 70°, most intense first:
2θ/deg	I (rel.)	(hkl)
31.5	100	1 3 1
31.2	24	0 6 0
55.7	17	1 9 1
37.8	17	0 0 2
40.0	15	2 0 0
64.3	14	1 3 3

Structure:
a = 4.5097 Å, b = 17.1756 Å, c = 4.7648 Å
α = 90.00°, β = 90.00°, γ = 90.00°
Space group Cmcm (No. 63)
Unique sites:
Pu 0.0000 0.0718 0.2500 (multiplicity 4)
Pu 0.0000 0.2467 0.7500 (multiplicity 4)
Bi 0.0000 0.4065 0.2500 (multiplicity 4)
O 0.0000 0.2027 0.2500 (multiplicity 4)